MgScTa: simulated PXRD pattern (CuKα), based on a crystal structure in Alexandria, relaxed with GGA-PBE.
Neutral-atom scattering factors, no anomalous dispersion.

Principal peaks in the range 2θ = 15–90°, by intensity:
2theta, d [Å], I (rel.)
36.0, 2.492, 1000
36.9, 2.438, 904
36.6, 2.454, 546
36.3, 2.475, 544
52.5, 1.742, 478
41.3, 2.186, 388
38.1, 2.361, 337
27.4, 3.250, 335
31.6, 2.834, 294
45.7, 1.984, 293

a b c (Å): 2.9833 4.9081 8.6764
angles (deg): 90.00 90.83 90.00
Atoms (fractional coordinates):
Mg (0.1417, 0.2500, 0.0899)
Mg (0.8583, 0.7500, 0.9101)
Sc (0.4557, 0.2500, 0.7322)
Sc (0.5443, 0.7500, 0.2678)
Ta (0.1183, 0.7500, 0.5646)
Ta (0.8817, 0.2500, 0.4354)


TbMgSc: simulated PXRD pattern (CuKα), based on a crystal structure in Alexandria, relaxed with GGA-PBE.
Neutral-atom scattering factors, no anomalous dispersion.

Principal peaks in the range 2θ = 15–90°, by intensity:
2theta, d [Å], I (rel.)
32.8, 2.732, 1000
27.2, 3.275, 478
37.8, 2.382, 342
65.1, 1.434, 265
55.1, 1.667, 216
25.4, 3.501, 157
40.0, 2.255, 157
38.6, 2.334, 155
46.1, 1.969, 131
41.9, 2.154, 122

a b c (Å): 3.3665 3.3700 14.0053
angles (deg): 90.00 90.01 90.00
Atoms (fractional coordinates):
Tb (0.2486, 0.0000, 0.2461)
Tb (0.7514, 0.5000, 0.7539)
Mg (0.2506, 0.9984, 0.9274)
Mg (0.7494, 0.4984, 0.0726)
Sc (0.2506, 0.0010, 0.5801)
Sc (0.7494, 0.5010, 0.4199)


Tb4MgSc: simulated PXRD pattern (CuKα), based on a crystal structure in Alexandria, relaxed with GGA-PBE.
Neutral-atom scattering factors, no anomalous dispersion.

Principal peaks in the range 2θ = 15–90°, by intensity:
2theta, d [Å], I (rel.)
31.7, 2.821, 1000
36.1, 2.491, 357
62.1, 1.494, 289
53.6, 1.711, 242
26.1, 3.418, 226
38.2, 2.353, 202
51.9, 1.761, 125
65.0, 1.434, 116
66.3, 1.410, 115
87.8, 1.112, 105

a b c (Å): 3.5226 3.5226 14.1294
angles (deg): 90.00 90.00 90.00
Atoms (fractional coordinates):
Tb (0.0000, 0.0000, 0.1592)
Tb (0.0000, 0.0000, 0.8408)
Tb (0.5000, 0.5000, 0.3352)
Tb (0.5000, 0.5000, 0.6648)
Mg (0.5000, 0.5000, 0.0000)
Sc (0.0000, 0.0000, 0.5000)


Tb6MgSc2: simulated PXRD pattern (CuKα), based on a crystal structure in Alexandria, relaxed with GGA-PBE.
Neutral-atom scattering factors, no anomalous dispersion.

Principal peaks in the range 2θ = 15–90°, by intensity:
2theta, d [Å], I (rel.)
31.6, 2.827, 1000
37.0, 2.432, 326
63.3, 1.469, 262
52.7, 1.737, 234
36.2, 2.481, 176
62.3, 1.491, 142
66.1, 1.414, 116
86.4, 1.127, 112
26.4, 3.380, 112
53.3, 1.720, 111

a b c (Å): 10.3202 10.3202 4.9630
angles (deg): 90.00 90.00 90.00
Atoms (fractional coordinates):
Tb (0.0031, 0.3311, 0.0000)
Tb (0.1588, 0.8412, 0.5000)
Tb (0.1689, 0.5031, 0.5000)
Tb (0.3311, 0.0031, 0.0000)
Tb (0.3412, 0.3412, 0.0000)
Tb (0.4969, 0.8311, 0.5000)
Tb (0.5031, 0.1689, 0.5000)
Tb (0.6588, 0.6588, 0.0000)
Tb (0.6689, 0.9969, 0.0000)
Tb (0.8311, 0.4969, 0.5000)
Tb (0.8412, 0.1588, 0.5000)
Tb (0.9969, 0.6689, 0.0000)
Mg (0.0000, 0.0000, 0.0000)
Mg (0.5000, 0.5000, 0.5000)
Sc (0.1737, 0.1737, 0.5000)
Sc (0.3263, 0.6737, 0.0000)
Sc (0.6737, 0.3263, 0.0000)
Sc (0.8263, 0.8263, 0.5000)


TbMgSc6: simulated PXRD pattern (CuKα), based on a crystal structure in Alexandria, relaxed with GGA-PBE.
Neutral-atom scattering factors, no anomalous dispersion.

Principal peaks in the range 2θ = 15–90°, by intensity:
2theta, d [Å], I (rel.)
35.5, 2.527, 1000
15.4, 5.768, 366
31.0, 2.884, 296
34.2, 2.619, 240
22.9, 3.878, 202
66.5, 1.405, 186
46.9, 1.939, 180
62.1, 1.494, 179
55.2, 1.665, 170
31.8, 2.811, 148

a b c (Å): 6.6608 6.6608 5.2386
angles (deg): 90.00 90.00 120.00
Atoms (fractional coordinates):
Tb (0.0000, 0.0000, 0.0000)
Mg (0.3333, 0.6667, 0.5000)
Sc (0.3330, 0.1665, 0.5000)
Sc (0.5029, 0.0057, 0.0000)
Sc (0.5029, 0.4971, 0.0000)
Sc (0.8335, 0.1665, 0.5000)
Sc (0.8335, 0.6670, 0.5000)
Sc (0.9943, 0.4971, 0.0000)


Tb3Mg3Sc2: simulated PXRD pattern (CuKα), based on a crystal structure in Alexandria, relaxed with GGA-PBE.
Neutral-atom scattering factors, no anomalous dispersion.

Principal peaks in the range 2θ = 15–90°, by intensity:
2theta, d [Å], I (rel.)
34.0, 2.639, 1000
20.6, 4.320, 428
24.8, 3.593, 282
33.4, 2.686, 268
32.9, 2.726, 258
26.3, 3.386, 245
60.0, 1.541, 189
47.5, 1.913, 181
59.4, 1.557, 176
42.0, 2.151, 142

a b c (Å): 3.6431 5.3718 21.8089
angles (deg): 90.00 90.00 90.00
Atoms (fractional coordinates):
Tb (0.0000, 0.0000, 0.0000)
Tb (0.0000, 0.5000, 0.1293)
Tb (0.0000, 0.5000, 0.8707)
Tb (0.5000, 0.0000, 0.3707)
Tb (0.5000, 0.0000, 0.6293)
Tb (0.5000, 0.5000, 0.5000)
Mg (0.0000, 0.0000, 0.5000)
Mg (0.0000, 0.5000, 0.3768)
Mg (0.0000, 0.5000, 0.6232)
Mg (0.5000, 0.0000, 0.1232)
Mg (0.5000, 0.0000, 0.8768)
Mg (0.5000, 0.5000, 0.0000)
Sc (0.0000, 0.0000, 0.2373)
Sc (0.0000, 0.0000, 0.7627)
Sc (0.5000, 0.5000, 0.2627)
Sc (0.5000, 0.5000, 0.7373)


Tb3Mg7Sc2: simulated PXRD pattern (CuKα), based on a crystal structure in Alexandria, relaxed with GGA-PBE.
Neutral-atom scattering factors, no anomalous dispersion.

Principal peaks in the range 2θ = 15–90°, by intensity:
2theta, d [Å], I (rel.)
36.1, 2.490, 1000
24.5, 3.635, 790
30.8, 2.905, 769
28.2, 3.167, 566
33.8, 2.652, 549
17.8, 4.991, 528
25.7, 3.473, 501
35.2, 2.553, 493
22.5, 3.948, 491
16.7, 5.304, 486

a b c (Å): 12.1153 12.1153 5.3045
angles (deg): 90.00 90.00 155.67
Atoms (fractional coordinates):
Tb (0.0000, 0.0000, 0.0000)
Tb (0.1685, 0.8315, 0.0000)
Tb (0.8315, 0.1685, 0.0000)
Mg (0.0780, 0.9220, 0.5000)
Mg (0.2291, 0.7709, 0.5000)
Mg (0.4219, 0.5781, 0.0000)
Mg (0.5000, 0.5000, 0.5000)
Mg (0.5781, 0.4219, 0.0000)
Mg (0.7709, 0.2291, 0.5000)
Mg (0.9220, 0.0780, 0.5000)
Sc (0.3556, 0.6444, 0.5000)
Sc (0.6444, 0.3556, 0.5000)


TbMgSc: simulated PXRD pattern (CuKα), based on a crystal structure in Alexandria, relaxed with GGA-PBE.
Neutral-atom scattering factors, no anomalous dispersion.

Principal peaks in the range 2θ = 15–90°, by intensity:
2theta, d [Å], I (rel.)
34.0, 2.633, 1000
27.1, 3.294, 259
25.2, 3.530, 214
36.2, 2.482, 197
19.9, 4.471, 176
60.9, 1.521, 139
42.8, 2.112, 139
40.4, 2.233, 137
31.8, 2.813, 132
62.3, 1.490, 115

a b c (Å): 3.6095 16.8772 5.2724
angles (deg): 90.00 90.00 90.00
Atoms (fractional coordinates):
Tb (0.0000, 0.0630, 0.0000)
Tb (0.0000, 0.9370, 0.5000)
Tb (0.5000, 0.4370, 0.5000)
Tb (0.5000, 0.5630, 0.0000)
Mg (0.0000, 0.2689, 0.4988)
Mg (0.0000, 0.7311, 0.9988)
Mg (0.5000, 0.2311, 0.9988)
Mg (0.5000, 0.7689, 0.4988)
Sc (0.0000, 0.3908, 0.9999)
Sc (0.0000, 0.6092, 0.4999)
Sc (0.5000, 0.1092, 0.4999)
Sc (0.5000, 0.8908, 0.9999)


Tb7Mg4Sc: simulated PXRD pattern (CuKα), based on a crystal structure in Alexandria, relaxed with GGA-PBE.
Neutral-atom scattering factors, no anomalous dispersion.

Principal peaks in the range 2θ = 15–90°, by intensity:
2theta, d [Å], I (rel.)
31.5, 2.836, 1000
32.3, 2.770, 801
34.5, 2.599, 740
31.4, 2.845, 639
29.9, 2.989, 578
30.5, 2.929, 497
22.1, 4.017, 497
45.1, 2.009, 478
44.0, 2.058, 463
33.7, 2.660, 441

a b c (Å): 8.0441 8.0441 9.6107
angles (deg): 119.26 119.26 41.29
Atoms (fractional coordinates):
Tb (0.0000, 0.0000, 0.0000)
Tb (0.2545, 0.2545, 0.7195)
Tb (0.3017, 0.3017, 0.1225)
Tb (0.4190, 0.4190, 0.5743)
Tb (0.5810, 0.5810, 0.4257)
Tb (0.6983, 0.6983, 0.8775)
Tb (0.7455, 0.7455, 0.2805)
Mg (0.0431, 0.0431, 0.6961)
Mg (0.1741, 0.1741, 0.3487)
Mg (0.8259, 0.8259, 0.6513)
Mg (0.9569, 0.9569, 0.3039)
Sc (0.5000, 0.5000, 0.0000)


Tb2Mg15Sc2: simulated PXRD pattern (CuKα), based on a crystal structure in Alexandria, relaxed with GGA-PBE.
Neutral-atom scattering factors, no anomalous dispersion.

Principal peaks in the range 2θ = 15–90°, by intensity:
2theta, d [Å], I (rel.)
35.0, 2.566, 1000
24.6, 3.615, 837
17.2, 5.150, 762
34.8, 2.575, 685
30.1, 2.974, 656
35.7, 2.515, 380
15.3, 5.790, 304
50.2, 1.818, 296
29.0, 3.083, 255
39.9, 2.260, 246

a b c (Å): 7.8179 7.8179 7.8179
angles (deg): 82.42 82.42 82.42
Atoms (fractional coordinates):
Tb (0.1750, 0.1750, 0.1750)
Tb (0.8250, 0.8250, 0.8250)
Mg (0.0000, 0.5000, 0.5000)
Mg (0.1441, 0.1441, 0.6523)
Mg (0.1441, 0.6523, 0.1441)
Mg (0.2038, 0.5000, 0.7962)
Mg (0.2038, 0.7962, 0.5000)
Mg (0.3477, 0.8559, 0.8559)
Mg (0.5000, 0.0000, 0.5000)
Mg (0.5000, 0.2038, 0.7962)
Mg (0.5000, 0.5000, 0.0000)
Mg (0.5000, 0.7962, 0.2038)
Mg (0.6523, 0.1441, 0.1441)
Mg (0.7962, 0.2038, 0.5000)
Mg (0.7962, 0.5000, 0.2038)
Mg (0.8559, 0.3477, 0.8559)
Mg (0.8559, 0.8559, 0.3477)
Sc (0.4012, 0.4012, 0.4012)
Sc (0.5988, 0.5988, 0.5988)


Tb7MgSc2: simulated PXRD pattern (CuKα), based on a crystal structure in Alexandria, relaxed with GGA-PBE.
Neutral-atom scattering factors, no anomalous dispersion.

Principal peaks in the range 2θ = 15–90°, by intensity:
2theta, d [Å], I (rel.)
31.5, 2.841, 1000
16.2, 5.479, 826
46.0, 1.972, 803
29.0, 3.076, 785
32.7, 2.740, 759
35.2, 2.550, 749
20.1, 4.410, 682
35.8, 2.506, 495
26.0, 3.433, 465
31.0, 2.880, 411

a b c (Å): 8.6406 8.6406 5.4794
angles (deg): 90.00 90.00 118.72
Atoms (fractional coordinates):
Tb (0.0000, 0.0000, 0.0000)
Tb (0.2017, 0.4354, 0.0000)
Tb (0.2561, 0.7439, 0.5000)
Tb (0.4354, 0.2017, 0.0000)
Tb (0.5646, 0.7983, 0.0000)
Tb (0.7439, 0.2561, 0.5000)
Tb (0.7983, 0.5646, 0.0000)
Mg (0.5000, 0.5000, 0.5000)
Sc (0.2085, 0.7915, 0.0000)
Sc (0.7915, 0.2085, 0.0000)


TbMg2Sc2: simulated PXRD pattern (CuKα), based on a crystal structure in Alexandria, relaxed with GGA-PBE.
Neutral-atom scattering factors, no anomalous dispersion.

Principal peaks in the range 2θ = 15–90°, by intensity:
2theta, d [Å], I (rel.)
34.7, 2.585, 1000
18.1, 4.897, 313
34.1, 2.629, 270
33.3, 2.690, 244
48.4, 1.881, 229
21.5, 4.142, 182
61.4, 1.509, 179
27.0, 3.308, 175
31.6, 2.833, 155
60.4, 1.532, 136

a b c (Å): 3.5586 5.2582 13.5679
angles (deg): 90.00 97.53 90.00
Atoms (fractional coordinates):
Tb (0.1532, 0.2500, 0.3074)
Tb (0.8468, 0.7500, 0.6926)
Mg (0.3605, 0.2500, 0.7197)
Mg (0.4496, 0.7500, 0.8998)
Mg (0.5504, 0.2500, 0.1002)
Mg (0.6395, 0.7500, 0.2803)
Sc (0.0447, 0.7500, 0.0898)
Sc (0.2376, 0.7500, 0.4754)
Sc (0.7624, 0.2500, 0.5246)
Sc (0.9553, 0.2500, 0.9102)